[1]
Starting from DFT lattice parameters and positions (GGA-PBE), the X-ray diffraction stick pattern of Ba2Li3PaO6 was computed for Cu Ka.
No peak broadening, texture or thermal motion is included.

Atomic structure:
```
12
Lattice="3.8356 0.0000 0.0000 0.0000 3.8356 0.0000 0.0000 0.0000 11.9598" Properties=species:S:1:pos:R:3 pbc="T T T"
Ba 0.0000 0.0000 2.4248
Ba 0.0000 0.0000 9.5350
Li 1.9178 1.9178 0.0000
Li 1.9178 1.9178 4.1700
Li 1.9178 1.9178 7.7898
Pa 0.0000 0.0000 5.9799
O 0.0000 1.9178 4.6657
O 0.0000 1.9178 7.2941
O 1.9178 0.0000 4.6657
O 1.9178 0.0000 7.2941
O 1.9178 1.9178 1.8005
O 1.9178 1.9178 10.1593
```

Top 10 peaks for 5 to 70 degrees two-theta, sorted by position:
Position (°2θ)  I/Imax
7.39  100
22.30  47
23.19  95
24.37  25
32.39  73
33.03  45
38.16  34
40.22  54
47.40  26
58.58  28

[2]
Starting from DFT lattice parameters and positions (GGA-PBE), the X-ray diffraction stick pattern of Tb2CeErN4 was computed for Cu Ka.
No peak broadening, texture or thermal motion is included.

Atomic structure:
```
8
Lattice="6.0443 0.0000 0.0000 0.0000 3.5005 0.0000 -1.9989 0.0000 5.7068" Properties=species:S:1:pos:R:3 pbc="T T T"
Tb 0.0000 0.0000 0.0000
Tb 3.0222 1.7503 0.0000
Ce -0.9994 1.7503 2.8534
Er 2.0227 0.0000 2.8534
N 0.0208 0.0000 4.2616
N 1.0058 1.7503 1.4581
N 3.0397 1.7503 4.2487
N 4.0247 0.0000 1.4452
```

Top 8 peaks for 5 to 70 degrees two-theta, sorted by position:
Position (°2θ)  I/Imax
31.35  100
36.31  48
36.44  24
52.29  17
52.39  33
62.24  30
62.42  15
65.41  17